Zr2Cr2F3: theoretical X-ray diffraction stick pattern (Cu Kα, 1.54184 Å), based on DFT lattice parameters and positions (GGA+U).
Lines closer than 0.1° are merged.

Structural model:
a b c (Å): 6.4093 6.4093 5.9546
angles (deg): 91.61 91.61 103.06
Element x y z (fractional)
Zr1 0.0000 0.0000 0.0000
Zr2 0.0938 0.5697 0.1229
Zr3 0.5697 0.0938 0.1229
Zr4 0.6303 0.6303 0.9642
Cr1 0.1793 0.1793 0.4243
Cr2 0.2733 0.8138 0.6782
Cr3 0.8138 0.2733 0.6782
Cr4 0.8223 0.8223 0.4498
F1 0.1030 0.3545 0.8387
F2 0.1699 0.5529 0.4731
F3 0.3545 0.1030 0.8387
F4 0.4165 0.4165 0.1648
F5 0.5529 0.1699 0.4731
F6 0.5932 0.5932 0.6112

Principal peaks in the range 2θ from 10° to 90°, by angle:
2θ (°)  d [Å]  I (rel.)
14.89  5.949  48
26.36  3.381  29
27.51  3.243  44
28.61  3.120  49
31.92  2.804  97
32.89  2.723  74
35.07  2.559  100
35.79  2.509  81
37.55  2.395  39
45.71  1.985  70